This entry pairs a crystal structure of NdNiC2O6 with its theoretical powder diffractogram. Radiation: Cu Kα. Structure: the PBE+U geometry in Alexandria.
Peak positions follow from Bragg's law for the DFT cell and can differ from measured ones.

Cell and atoms:
a b c (Å): 4.9031 4.9031 16.3947
angles (deg): 90.00 90.00 120.00
Space group R-3 (No. 148, hexagonal axes)
Unique sites:
Nd1 0.0000 0.0000 0.0000 [3 per cell]
Ni1 0.0000 0.0000 0.5000 [3 per cell]
C1 0.0000 0.0000 0.2415 [6 per cell]
O1 0.0392 0.2852 0.2456 [18 per cell]

Most intense lines, 2θ from 10° to 90°, in order of falling intensity:
2θ (°), I_rel, hkl
30.31, 100, 1 0 4
23.60, 70, 0 1 2
49.99, 39, 2 -1 6
36.66, 33, 1 1 0
44.06, 26, 2 0 2
49.38, 23, 0 1 8
58.61, 21, 3 -2 2
21.62, 17, 1 0 1
62.11, 16, 3 -1 4
48.28, 15, 0 2 4
40.32, 14, 1 1 3
66.00, 10, 3 0 0